No. 1
For Tb8SmIn6, a DFT-relaxed cell (PBE, Alexandria) gives the calculated XRD peak list in this record (CuKα).
Intensities are scaled so that the largest is 100.

Atomic structure:
Unit cell a=9.0882 b=9.0882 c=19.5153 alpha=90.00 beta=90.00 gamma=120.00
Space group R-3 (No. 148, hexagonal axes)
Unique sites:
Tb1 0.0000 0.0000 0.1671 [6 per cell]
Tb2 0.0004 0.3330 0.6135 [18 per cell]
Sm1 0.0000 0.0000 0.5000 [3 per cell]
In1 0.9999 0.3359 0.4416 [18 per cell]

Top 12 peaks for 2θ from 10° to 90°, in order of rising 2θ:
2θ = 19.54°, rel. 11
2θ = 23.89°, rel. 36
2θ = 33.89°, rel. 100
2θ = 34.18°, rel. 96
2θ = 48.90°, rel. 35
2θ = 60.46°, rel. 18
2θ = 61.01°, rel. 36
2θ = 61.19°, rel. 18
2θ = 71.32°, rel. 11
2θ = 71.99°, rel. 11
2θ = 81.51°, rel. 15
2θ = 81.99°, rel. 16


No. 2
For LaNd3Dy5, a DFT-relaxed cell (PBE, Alexandria) gives the calculated XRD peak list in this record (CuKα).
Intensities are scaled so that the largest is 100.

Atomic structure:
Unit cell a=15.4625 b=11.4204 c=9.9673 alpha=90.00 beta=130.11 gamma=90.00
Space group C2/m (No. 12)
Unique sites:
La1 0.2455 0.0000 0.4113 [4 per cell]
Nd1 0.0000 0.0000 0.0000 [2 per cell]
Nd2 0.0000 0.5000 0.5000 [2 per cell]
Nd3 0.0070 0.5000 0.8110 [4 per cell]
Nd4 0.0225 0.0000 0.3610 [4 per cell]
Dy1 0.0000 0.2574 0.0000 [4 per cell]
Dy2 0.1481 0.2483 0.7507 [8 per cell]
Dy3 0.2193 0.5000 0.2206 [4 per cell]
Dy4 0.2250 0.0000 0.0444 [4 per cell]

Top 12 peaks for 2θ from 10° to 90°, in order of rising 2θ:
2θ = 11.61°, rel. 22
2θ = 15.52°, rel. 35
2θ = 28.16°, rel. 32
2θ = 28.94°, rel. 58
2θ = 30.23°, rel. 19
2θ = 31.33°, rel. 71
2θ = 31.87°, rel. 100
2θ = 32.07°, rel. 18
2θ = 34.15°, rel. 49
2θ = 39.08°, rel. 70
2θ = 50.93°, rel. 32
2θ = 73.30°, rel. 15


No. 3
For Pm6Zn5, a DFT-relaxed cell (PBE, Alexandria) gives the calculated XRD peak list in this record (CuKα).
Intensities are scaled so that the largest is 100.

Atomic structure:
Unit cell a=5.1248 b=7.3172 c=15.3430 alpha=90.00 beta=90.00 gamma=90.00
Space group Immm (No. 71)
Unique sites:
Pm1 0.0000 0.2478 0.1638 [8 per cell]
Pm2 0.0000 0.2510 0.5000 [4 per cell]
Zn1 0.0000 0.0000 0.3317 [4 per cell]
Zn2 0.0000 0.5000 0.0000 [2 per cell]
Zn3 0.0000 0.5000 0.3270 [4 per cell]

Top 12 peaks for 2θ from 10° to 90°, in order of rising 2θ:
2θ = 24.33°, rel. 11
2θ = 24.59°, rel. 22
2θ = 34.87°, rel. 100
2θ = 35.06°, rel. 49
2θ = 43.13°, rel. 10
2θ = 49.85°, rel. 9
2θ = 50.42°, rel. 17
2θ = 62.39°, rel. 18
2θ = 62.76°, rel. 35
2θ = 73.62°, rel. 11
2θ = 83.68°, rel. 8
2θ = 84.57°, rel. 11


No. 4
For BaHgRhPb2, a DFT-relaxed cell (PBE, Alexandria) gives the calculated XRD peak list in this record (CuKα).
Intensities are scaled so that the largest is 100.

Atomic structure:
Unit cell a=5.3063 b=5.3063 c=5.9807 alpha=90.00 beta=90.00 gamma=90.00
Space group P4/mmm (No. 123)
Unique sites:
Ba1 0.0000 0.0000 0.0000 [1 per cell]
Hg1 0.5000 0.5000 0.0000 [1 per cell]
Rh1 0.0000 0.0000 0.5000 [1 per cell]
Pb1 0.0000 0.5000 0.5000 [2 per cell]

Top 12 peaks for 2θ from 10° to 90°, in order of rising 2θ:
2θ = 22.40°, rel. 13
2θ = 28.07°, rel. 100
2θ = 29.88°, rel. 38
2θ = 33.78°, rel. 56
2θ = 45.72°, rel. 48
2θ = 48.53°, rel. 20
2θ = 51.94°, rel. 19
2θ = 57.00°, rel. 29
2θ = 58.04°, rel. 24
2θ = 72.58°, rel. 13
2θ = 73.81°, rel. 14
2θ = 88.69°, rel. 16


No. 5
For NpNi2H7Pd2, a DFT-relaxed cell (PBE, Alexandria) gives the calculated XRD peak list in this record (CuKα).
Intensities are scaled so that the largest is 100.

Atomic structure:
Unit cell a=16.8947 b=3.7947 c=3.3448 alpha=90.00 beta=101.15 gamma=90.00
Space group C2/m (No. 12)
Unique sites:
Np1 0.0000 0.0000 0.0000 [2 per cell]
Ni1 0.1008 0.5000 0.5987 [4 per cell]
H1 0.0000 0.5000 0.5000 [2 per cell]
H2 0.0861 0.5000 0.0844 [4 per cell]
H3 0.1019 0.0000 0.5996 [4 per cell]
H4 0.2117 0.5000 0.7111 [4 per cell]
Pd1 0.2118 0.0000 0.7127 [4 per cell]

Top 12 peaks for 2θ from 10° to 90°, in order of rising 2θ:
2θ = 21.44°, rel. 29
2θ = 24.06°, rel. 22
2θ = 31.19°, rel. 33
2θ = 31.33°, rel. 34
2θ = 35.97°, rel. 83
2θ = 37.45°, rel. 100
2θ = 46.91°, rel. 15
2θ = 47.13°, rel. 14
2θ = 47.95°, rel. 20
2θ = 54.90°, rel. 13
2θ = 55.44°, rel. 18
2θ = 58.36°, rel. 23


No. 6
For UGaPb2O6, a DFT-relaxed cell (PBE, Alexandria) gives the calculated XRD peak list in this record (CuKα).
Intensities are scaled so that the largest is 100.

Atomic structure:
Unit cell a=4.2053 b=4.2053 c=8.2342 alpha=90.00 beta=90.00 gamma=90.00
Space group P4/mmm (No. 123)
Unique sites:
U1 0.0000 0.0000 0.0000 [1 per cell]
Ga1 0.0000 0.0000 0.5000 [1 per cell]
Pb1 0.5000 0.5000 0.2981 [2 per cell]
O1 0.0000 0.0000 0.2620 [2 per cell]
O2 0.0000 0.5000 0.0000 [2 per cell]
O3 0.0000 0.5000 0.5000 [2 per cell]

Top 12 peaks for 2θ from 10° to 90°, in order of rising 2θ:
2θ = 23.76°, rel. 37
2θ = 30.05°, rel. 64
2θ = 30.38°, rel. 100
2θ = 32.62°, rel. 13
2θ = 43.02°, rel. 35
2θ = 44.94°, rel. 23
2θ = 53.57°, rel. 43
2θ = 55.01°, rel. 13
2θ = 60.36°, rel. 13
2θ = 70.86°, rel. 12
2θ = 76.96°, rel. 13
2θ = 86.78°, rel. 12


Question: Number 1 is which compound?
Answer: Tb8SmIn6


Question: Number 2 is which compound?
Answer: LaNd3Dy5